Record 1
Starting from a GGA-PBE-relaxed structure, the X-ray diffraction stick pattern of BaLiCu was calculated for copper Kα.
Intensities are scaled so that the largest is 100.

Principal peaks in the range 10° ≤ 2θ ≤ 90°, in order of rising 2θ:
Position (°2θ)  I/Imax
21.84  39.6
29.44  100.0
38.30  32.8
39.59  10.0
45.66  11.1
49.03  23.6
56.26  20.8
63.87  21.0
65.66  9.7
74.43  6.2
82.83  6.7
89.42  10.3

abc: 4.700 4.700 4.553
angles: 90.00 90.00 120.00
Fractional coordinates of all 3 atoms:
Ba  0.000  0.000  0.000
Li  0.667  0.333  0.500
Cu  0.333  0.667  0.500

=====

Record 2
Starting from a GGA-PBE-relaxed structure, the X-ray diffraction stick pattern of Ba3LiCu2O6 was calculated for copper Kα.
Intensities are scaled so that the largest is 100.

Principal peaks in the range 10° ≤ 2θ ≤ 90°, in order of rising 2θ:
Position (°2θ)  I/Imax
21.42  63.2
29.86  100.0
31.08  78.9
37.05  28.0
43.64  47.1
48.29  14.9
49.92  15.2
53.01  20.0
53.78  33.6
62.04  18.0
71.02  14.7
85.96  10.3

abc: 5.984 5.984 6.920
angles: 90.00 90.00 120.00
Fractional coordinates of all 12 atoms:
Ba  0.000  0.000  0.000
Ba  0.333  0.667  0.652
Ba  0.667  0.333  0.348
Li  0.000  0.000  0.500
Cu  0.333  0.667  0.221
Cu  0.667  0.333  0.779
O  0.165  0.330  0.296
O  0.165  0.835  0.296
O  0.330  0.165  0.704
O  0.670  0.835  0.296
O  0.835  0.165  0.704
O  0.835  0.670  0.704

=====

Record 3
Starting from a GGA-PBE-relaxed structure, the X-ray diffraction stick pattern of Ba4LiY2Cu5O14 was calculated for copper Kα.
Intensities are scaled so that the largest is 100.

Principal peaks in the range 10° ≤ 2θ ≤ 90°, in order of rising 2θ:
Position (°2θ)  I/Imax
32.18  88.4
32.49  100.0
32.66  96.3
40.02  33.6
45.90  16.8
46.41  31.0
47.31  29.1
57.46  31.2
57.79  37.3
58.38  32.3
68.44  17.7
78.54  15.3

abc: 5.484 5.484 12.469
angles: 102.46 102.46 91.05
Fractional coordinates of all 26 atoms:
Ba  0.250  0.750  0.000
Ba  0.434  0.935  0.369
Ba  0.750  0.250  0.000
Ba  0.935  0.434  0.369
Li  0.177  0.177  0.853
Y  0.095  0.595  0.689
Y  0.595  0.095  0.689
Cu  0.019  0.019  0.539
Cu  0.342  0.342  0.184
Cu  0.520  0.520  0.541
Cu  0.658  0.658  0.814
Cu  0.844  0.844  0.188
O  0.109  0.609  0.185
O  0.260  0.260  0.025
O  0.281  0.782  0.562
O  0.282  0.282  0.564
O  0.411  0.411  0.806
O  0.415  0.892  0.805
O  0.418  0.418  0.341
O  0.609  0.109  0.185
O  0.763  0.763  0.033
O  0.782  0.281  0.562
O  0.783  0.783  0.565
O  0.892  0.415  0.805
O  0.896  0.896  0.806
O  0.920  0.920  0.345

=====

Record 4
Starting from a GGA-PBE-relaxed structure, the X-ray diffraction stick pattern of Ba2LuCu3O7 was calculated for copper Kα.
Intensities are scaled so that the largest is 100.

Principal peaks in the range 10° ≤ 2θ ≤ 90°, in order of rising 2θ:
Position (°2θ)  I/Imax
22.81  14.7
32.31  91.4
32.70  100.0
32.87  95.0
40.25  30.7
46.10  17.3
46.59  28.2
47.74  26.1
57.77  35.7
58.08  37.9
58.82  33.1
68.92  16.2

abc: 3.810 3.899 11.813
angles: 90.00 90.00 90.00
Fractional coordinates of all 13 atoms:
Ba  0.000  0.000  0.182
Ba  0.000  0.000  0.818
Lu  0.000  0.000  0.500
Cu  0.500  0.500  0.000
Cu  0.500  0.500  0.357
Cu  0.500  0.500  0.643
O  0.000  0.500  0.385
O  0.000  0.500  0.615
O  0.500  0.000  0.000
O  0.500  0.000  0.383
O  0.500  0.000  0.617
O  0.500  0.500  0.159
O  0.500  0.500  0.841

=====

Record 5
Starting from a GGA-PBE-relaxed structure, the X-ray diffraction stick pattern of Ba4PrLuCu6O14 was calculated for copper Kα.
Intensities are scaled so that the largest is 100.

Principal peaks in the range 10° ≤ 2θ ≤ 90°, in order of rising 2θ:
Position (°2θ)  I/Imax
32.11  90.9
32.43  100.0
32.57  93.5
39.92  29.3
45.85  18.9
46.24  28.0
47.19  26.3
57.36  35.3
57.62  37.8
58.23  33.4
68.22  16.2
78.32  15.2

abc: 3.852 3.926 23.749
angles: 90.00 90.00 90.00
Fractional coordinates of all 26 atoms:
Ba  0.000  0.000  0.157
Ba  0.000  0.000  0.337
Ba  0.000  0.000  0.663
Ba  0.000  0.000  0.843
Pr  0.000  0.000  0.500
Lu  0.000  0.000  0.000
Cu  0.500  0.500  0.071
Cu  0.500  0.500  0.247
Cu  0.500  0.500  0.422
Cu  0.500  0.500  0.578
Cu  0.500  0.500  0.753
Cu  0.500  0.500  0.929
O  0.000  0.500  0.057
O  0.000  0.500  0.435
O  0.000  0.500  0.565
O  0.000  0.500  0.943
O  0.500  0.000  0.058
O  0.500  0.000  0.247
O  0.500  0.000  0.434
O  0.500  0.000  0.566
O  0.500  0.000  0.753
O  0.500  0.000  0.942
O  0.500  0.500  0.168
O  0.500  0.500  0.326
O  0.500  0.500  0.674
O  0.500  0.500  0.832

=====

Record 6
Starting from a GGA-PBE-relaxed structure, the X-ray diffraction stick pattern of Ba2Lu2CuPtO8 was calculated for copper Kα.
Intensities are scaled so that the largest is 100.

Principal peaks in the range 10° ≤ 2θ ≤ 90°, in order of rising 2θ:
Position (°2θ)  I/Imax
19.08  22.0
26.94  29.6
30.34  26.5
31.10  94.7
31.28  100.0
31.60  68.6
32.48  25.0
32.94  21.7
37.64  20.6
46.29  28.9
56.08  21.0
65.98  18.8

abc: 13.252 5.663 10.350
angles: 90.00 90.00 90.00
Fractional coordinates of all 56 atoms:
Ba  0.076  0.250  0.091
Ba  0.206  0.750  0.312
Ba  0.294  0.250  0.812
Ba  0.424  0.750  0.591
Ba  0.576  0.250  0.409
Ba  0.706  0.750  0.188
Ba  0.794  0.250  0.688
Ba  0.924  0.750  0.909
Lu  0.082  0.250  0.486
Lu  0.141  0.750  0.684
Lu  0.359  0.250  0.184
Lu  0.418  0.750  0.986
Lu  0.582  0.250  0.014
Lu  0.641  0.750  0.816
Lu  0.859  0.250  0.316
Lu  0.918  0.750  0.514
Cu  0.040  0.250  0.764
Cu  0.460  0.750  0.264
Cu  0.540  0.250  0.736
Cu  0.960  0.750  0.236
Pt  0.196  0.750  0.965
Pt  0.304  0.250  0.465
Pt  0.696  0.750  0.535
Pt  0.804  0.250  0.035
O  0.009  0.004  0.632
O  0.009  0.496  0.632
O  0.087  0.750  0.105
O  0.115  0.511  0.854
O  0.115  0.989  0.854
O  0.201  0.250  0.312
O  0.213  0.009  0.554
O  0.213  0.491  0.554
O  0.287  0.509  0.054
O  0.287  0.991  0.054
O  0.299  0.750  0.812
O  0.385  0.011  0.354
O  0.385  0.489  0.354
O  0.413  0.250  0.605
O  0.491  0.504  0.132
O  0.491  0.996  0.132
O  0.509  0.004  0.868
O  0.509  0.496  0.868
O  0.587  0.750  0.395
O  0.615  0.511  0.646
O  0.615  0.989  0.646
O  0.701  0.250  0.188
O  0.713  0.009  0.946
O  0.713  0.491  0.946
O  0.787  0.509  0.446
O  0.787  0.991  0.446
O  0.799  0.750  0.688
O  0.885  0.011  0.146
O  0.885  0.489  0.146
O  0.913  0.250  0.895
O  0.991  0.504  0.368
O  0.991  0.996  0.368

=====

Record 7
Starting from a GGA-PBE-relaxed structure, the X-ray diffraction stick pattern of Ba2Mg3Cu2 was calculated for copper Kα.
Intensities are scaled so that the largest is 100.

Principal peaks in the range 10° ≤ 2θ ≤ 90°, in order of rising 2θ:
Position (°2θ)  I/Imax
21.70  55.6
24.01  53.7
26.74  19.8
29.37  46.1
30.20  23.2
31.15  40.6
32.58  100.0
34.22  33.8
35.54  37.0
40.54  29.7
47.97  32.5
51.99  18.6

abc: 11.887 4.450 8.407
angles: 90.00 118.15 90.00
Fractional coordinates of all 14 atoms:
Ba  0.137  0.000  0.272
Ba  0.363  0.500  0.728
Ba  0.637  0.500  0.272
Ba  0.863  0.000  0.728
Mg  0.000  0.500  0.500
Mg  0.148  0.500  0.927
Mg  0.352  0.000  0.073
Mg  0.500  0.000  0.500
Mg  0.648  0.000  0.927
Mg  0.852  0.500  0.073
Cu  0.137  0.000  0.716
Cu  0.363  0.500  0.284
Cu  0.637  0.500  0.716
Cu  0.863  0.000  0.284

=====

Record 8
Starting from a GGA-PBE-relaxed structure, the X-ray diffraction stick pattern of Ba2Mg2Tl2Cu3O10 was calculated for copper Kα.
Intensities are scaled so that the largest is 100.

Principal peaks in the range 10° ≤ 2θ ≤ 90°, in order of rising 2θ:
Position (°2θ)  I/Imax
26.48  37.5
28.98  100.0
29.09  33.2
32.03  32.9
33.47  39.4
33.68  83.8
34.03  24.4
48.16  21.4
48.28  42.1
48.48  24.1
57.38  20.8
60.05  19.8

abc: 3.756 3.770 18.921
angles: 95.71 95.51 90.00
Fractional coordinates of all 19 atoms:
Ba  0.000  0.000  0.000
Ba  0.289  0.281  0.560
Mg  0.092  0.095  0.193
Mg  0.180  0.184  0.368
Tl  0.426  0.461  0.844
Tl  0.864  0.897  0.716
Cu  0.558  0.561  0.123
Cu  0.635  0.639  0.280
Cu  0.724  0.719  0.438
O  0.049  0.552  0.104
O  0.123  0.625  0.255
O  0.215  0.709  0.418
O  0.370  0.303  0.729
O  0.479  0.472  0.957
O  0.567  0.070  0.142
O  0.648  0.151  0.305
O  0.739  0.228  0.456
O  0.810  0.797  0.603
O  0.919  0.854  0.831

=====

Please write out number 2 again, unchanged.
Starting from a GGA-PBE-relaxed structure, the X-ray diffraction stick pattern of Ba3LiCu2O6 was calculated for copper Kα.
Intensities are scaled so that the largest is 100.

Principal peaks in the range 10° ≤ 2θ ≤ 90°, in order of rising 2θ:
Position (°2θ)  I/Imax
21.42  63.2
29.86  100.0
31.08  78.9
37.05  28.0
43.64  47.1
48.29  14.9
49.92  15.2
53.01  20.0
53.78  33.6
62.04  18.0
71.02  14.7
85.96  10.3

abc: 5.984 5.984 6.920
angles: 90.00 90.00 120.00
Fractional coordinates of all 12 atoms:
Ba  0.000  0.000  0.000
Ba  0.333  0.667  0.652
Ba  0.667  0.333  0.348
Li  0.000  0.000  0.500
Cu  0.333  0.667  0.221
Cu  0.667  0.333  0.779
O  0.165  0.330  0.296
O  0.165  0.835  0.296
O  0.330  0.165  0.704
O  0.670  0.835  0.296
O  0.835  0.165  0.704
O  0.835  0.670  0.704